Starting from a GGA-PBE-relaxed structure, the powder XRD pattern of Mg8Sc was computed for Cu Kα X-rays.
Neutral-atom scattering factors, no anomalous dispersion.

Cell and atoms:
Unit cell a=10.6110 b=10.6110 c=3.6651 alpha=90.00 beta=90.00 gamma=90.00
Space group I4/mmm (No. 139)
One atom of each set of equivalent atoms:
1 Mg 0.0000 0.3300 0.0000 [8 per cell]
2 Mg 0.1672 0.1672 0.5000 [8 per cell]
3 Sc 0.0000 0.0000 0.0000 [2 per cell]

Top 12 peaks for 10 to 90 degrees two-theta, sorted by position:
two_theta  intensity  hkl
11.79  5.5  1 1 0
35.26  100.0  3 0 1
35.91  47.5  3 3 0
49.76  9.0  0 0 2
51.69  15.8  6 0 0
62.87  16.9  3 3 2
64.12  31.9  6 3 1
74.57  9.8  6 0 2
76.12  4.6  6 6 0
83.77  7.0  3 0 3
86.77  6.3  9 0 1
87.14  6.2  9 3 0

***

Starting from a GGA-PBE-relaxed structure, the powder XRD pattern of MgSc was computed for Cu Kα X-rays.
Neutral-atom scattering factors, no anomalous dispersion.

Cell and atoms:
Unit cell a=3.5952 b=3.5952 c=3.5952 alpha=90.00 beta=90.00 gamma=90.00
Space group Pm-3m (No. 221)
One atom of each set of equivalent atoms:
1 Mg 0.0000 0.0000 0.0000 [1 per cell]
2 Sc 0.5000 0.5000 0.5000 [1 per cell]

Top 9 peaks for 10 to 90 degrees two-theta, sorted by position:
two_theta  intensity  hkl
24.76  9.9  1 0 0
35.31  100.0  1 1 0
43.60  2.4  1 1 1
50.79  16.4  2 0 0
57.30  2.8  2 1 0
63.37  31.8  2 1 1
74.67  9.4  2 2 0
80.08  1.2  3 0 0
85.39  12.8  3 1 0

***

Starting from a GGA-PBE-relaxed structure, the powder XRD pattern of Mg7Sc6 was computed for Cu Kα X-rays.
Neutral-atom scattering factors, no anomalous dispersion.

Cell and atoms:
Unit cell a=5.8076 b=5.8076 c=31.5746 alpha=90.00 beta=90.00 gamma=120.00
Space group R-3m (No. 166, hexagonal axes)
One atom of each set of equivalent atoms:
1 Mg 0.0000 0.0000 0.0000 [3 per cell]
2 Mg 0.0043 0.5021 0.4099 [18 per cell]
3 Sc 0.0000 0.0000 0.1659 [6 per cell]
4 Sc 0.0000 0.0000 0.3482 [6 per cell]
5 Sc 0.0000 0.0000 0.4538 [6 per cell]

Top 12 peaks for 10 to 90 degrees two-theta, sorted by position:
two_theta  intensity  hkl
30.79  85.7  1 1 0
33.51  67.0  1 0 10
35.30  100.0  1 1 6
35.82  36.6  0 2 1
36.03  58.0  0 1 11
37.54  19.4  0 2 4
38.53  30.6  2 0 5
56.51  25.0  2 1 10
57.71  21.6  0 3 6
58.21  25.8  1 2 11
61.76  17.0  0 0 21
64.14  30.4  2 2 0

***

Starting from a GGA-PBE-relaxed structure, the powder XRD pattern of Mg7Sc4 was computed for Cu Kα X-rays.
Neutral-atom scattering factors, no anomalous dispersion.

Cell and atoms:
Unit cell a=10.0592 b=10.0592 c=3.0499 alpha=90.00 beta=90.00 gamma=120.00
Space group P-6m2 (No. 187)
One atom of each set of equivalent atoms:
1 Mg 0.0000 0.0000 0.0000 [1 per cell]
2 Mg 0.0014 0.5007 0.0000 [3 per cell]
3 Mg 0.1664 0.3328 0.5000 [3 per cell]
4 Sc 0.3333 0.6667 0.0000 [1 per cell]
5 Sc 0.4027 0.2013 0.5000 [3 per cell]

Top 12 peaks for 10 to 90 degrees two-theta, sorted by position:
two_theta  intensity  hkl
20.39  24.4  2 0 0
27.08  39.4  2 1 0
30.79  20.4  3 0 0
31.07  22.6  1 0 1
34.39  24.3  1 1 1
35.70  100.0  2 2 0
35.95  72.2  2 0 1
40.31  38.5  2 1 1
43.01  34.6  3 0 1
54.93  15.8  3 2 1
64.30  25.8  4 2 1
72.49  21.8  2 2 2

***

Starting from a GGA-PBE-relaxed structure, the powder XRD pattern of Mg2Sc was computed for Cu Kα X-rays.
Neutral-atom scattering factors, no anomalous dispersion.

Cell and atoms:
Unit cell a=6.2499 b=4.7653 c=9.2904 alpha=90.00 beta=90.00 gamma=90.00
Space group Pnma (No. 62)
One atom of each set of equivalent atoms:
1 Mg 0.0824 0.2500 0.2418 [4 per cell]
2 Mg 0.1506 0.2500 0.9123 [4 per cell]
3 Sc 0.1466 0.2500 0.5791 [4 per cell]

Top 12 peaks for 10 to 90 degrees two-theta, sorted by position:
two_theta  intensity  hkl
34.32  84.5  2 1 0
34.54  100.0  0 1 3
35.69  10.0  2 1 1
37.76  36.9  0 2 0
41.03  49.5  2 0 3
56.98  35.2  2 2 3
59.73  9.2  0 0 6
66.00  15.9  2 3 0
66.11  12.5  0 3 3
70.32  11.2  4 1 3
70.72  17.2  2 1 6
72.85  8.9  0 2 6

***

Starting from a GGA-PBE-relaxed structure, the powder XRD pattern of MgSc2 was computed for Cu Kα X-rays.
Neutral-atom scattering factors, no anomalous dispersion.

Cell and atoms:
Unit cell a=4.6080 b=4.6080 c=27.0151 alpha=90.00 beta=90.00 gamma=90.00
Space group I4_1/amd (No. 141, origin choice 2)
One atom of each set of equivalent atoms:
1 Mg 0.0000 0.2500 0.2913 [8 per cell]
2 Sc 0.0000 0.2500 0.1236 [8 per cell]
3 Sc 0.0000 0.2500 0.7922 [8 per cell]

Top 12 peaks for 10 to 90 degrees two-theta, sorted by position:
two_theta  intensity  hkl
13.11  2.1  0 0 4
19.54  4.8  1 0 1
30.21  2.1  1 0 7
33.96  100.0  1 1 6
39.10  33.1  2 0 0
40.05  15.3  0 0 12
56.48  10.3  2 2 0
57.21  19.6  2 0 12
67.57  22.8  3 1 6
68.88  10.7  1 1 18
71.48  9.5  2 2 12
84.01  3.0  4 0 0